(1)
Simulated powder XRD pattern of TbEuScAl for Cu Kα, 1.54184 Å, from the PBE geometry in Alexandria.

Structure:
Cell lengths 7.466, 7.466, 7.466 Å; angles 90.00, 90.00, 90.00 degrees
Fractional coordinates of all 16 atoms:
Tb 0.000 0.000 0.000
Tb 0.000 0.500 0.500
Tb 0.500 0.000 0.500
Tb 0.500 0.500 0.000
Eu 0.250 0.250 0.750
Eu 0.250 0.750 0.250
Eu 0.750 0.250 0.250
Eu 0.750 0.750 0.750
Sc 0.000 0.000 0.500
Sc 0.000 0.500 0.000
Sc 0.500 0.000 0.000
Sc 0.500 0.500 0.500
Al 0.250 0.250 0.250
Al 0.250 0.750 0.750
Al 0.750 0.250 0.750
Al 0.750 0.750 0.250

The 9 most intense peaks (2θ = 10–80°), in order of falling intensity:
d = 2.640 Å, 2θ 33.96, I = 100; d = 4.310 Å, 2θ 20.61, I = 44; d = 1.524 Å, 2θ 60.78, I = 37; d = 2.251 Å, 2θ 40.06, I = 25; d = 1.866 Å, 2θ 48.79, I = 18; d = 1.320 Å, 2θ 71.48, I = 11; d = 1.713 Å, 2θ 53.50, I = 11; d = 1.437 Å, 2θ 64.90, I = 8; d = 1.262 Å, 2θ 75.31, I = 8


(2)
Simulated powder XRD pattern of EuAl2Se4 for Cu Kα, 1.54184 Å, from the PBE geometry in Alexandria.

Structure:
Cell lengths 6.305, 6.305, 10.983 Å; angles 90.00, 90.00, 120.45 degrees
Fractional coordinates of all 14 atoms:
Eu 0.000 0.000 0.250
Eu 0.000 0.000 0.750
Al 0.259 0.739 0.000
Al 0.261 0.741 0.500
Al 0.739 0.259 0.500
Al 0.741 0.261 0.000
Se 0.000 0.500 0.169
Se 0.000 0.500 0.831
Se 0.152 0.316 0.500
Se 0.316 0.152 0.000
Se 0.500 0.000 0.331
Se 0.500 0.000 0.669
Se 0.684 0.848 0.000
Se 0.848 0.684 0.500

The 10 most intense peaks (2θ = 10–80°), in order of falling intensity:
d = 3.033 Å, 2θ 29.45, I = 100; d = 2.436 Å, 2θ 36.90, I = 66; d = 5.436 Å, 2θ 16.31, I = 48; d = 2.451 Å, 2θ 36.66, I = 45; d = 3.864 Å, 2θ 23.02, I = 34; d = 2.735 Å, 2θ 32.74, I = 28; d = 1.801 Å, 2θ 50.69, I = 23; d = 2.719 Å, 2θ 32.94, I = 20; d = 1.788 Å, 2θ 51.07, I = 20; d = 1.648 Å, 2θ 55.78, I = 18


(3)
Simulated powder XRD pattern of SmEuAl2 for Cu Kα, 1.54184 Å, from the PBE geometry in Alexandria.

Structure:
Cell lengths 5.293, 5.293, 3.685 Å; angles 90.00, 90.00, 90.00 degrees
Fractional coordinates of all 4 atoms:
Sm 0.000 0.000 0.000
Eu 0.500 0.500 0.000
Al 0.000 0.500 0.500
Al 0.500 0.000 0.500

The 10 most intense peaks (2θ = 10–80°), in order of falling intensity:
d = 2.626 Å, 2θ 34.14, I = 100; d = 3.743 Å, 2θ 23.77, I = 60; d = 2.647 Å, 2θ 33.87, I = 51; d = 1.524 Å, 2θ 60.77, I = 38; d = 3.685 Å, 2θ 24.15, I = 29; d = 2.150 Å, 2θ 42.03, I = 27; d = 1.871 Å, 2θ 48.65, I = 18; d = 1.512 Å, 2θ 61.30, I = 18; d = 1.674 Å, 2θ 54.85, I = 13; d = 1.669 Å, 2θ 55.03, I = 12


(4)
Simulated powder XRD pattern of EuAl20V2 for Cu Kα, 1.54184 Å, from the PBE geometry in Alexandria.

Structure:
Cell lengths 10.286, 10.286, 10.286 Å; angles 60.00, 60.00, 60.00 degrees
Fractional coordinates of all 46 atoms:
Eu 0.125 0.125 0.125
Eu 0.875 0.875 0.875
Al 0.000 0.000 0.000
Al 0.000 0.000 0.500
Al 0.000 0.500 0.000
Al 0.057 0.326 0.326
Al 0.057 0.326 0.791
Al 0.057 0.791 0.326
Al 0.209 0.674 0.674
Al 0.209 0.674 0.943
Al 0.209 0.943 0.674
Al 0.236 0.236 0.514
Al 0.236 0.514 0.236
Al 0.236 0.514 0.514
Al 0.326 0.057 0.326
Al 0.326 0.057 0.791
Al 0.326 0.326 0.057
Al 0.326 0.326 0.791
Al 0.326 0.791 0.057
Al 0.326 0.791 0.326
Al 0.486 0.486 0.764
Al 0.486 0.764 0.486
Al 0.486 0.764 0.764
Al 0.500 0.000 0.000
Al 0.514 0.236 0.236
Al 0.514 0.236 0.514
Al 0.514 0.514 0.236
Al 0.674 0.209 0.674
Al 0.674 0.209 0.943
Al 0.674 0.674 0.209
Al 0.674 0.674 0.943
Al 0.674 0.943 0.209
Al 0.674 0.943 0.674
Al 0.764 0.486 0.486
Al 0.764 0.486 0.764
Al 0.764 0.764 0.486
Al 0.791 0.057 0.326
Al 0.791 0.326 0.057
Al 0.791 0.326 0.326
Al 0.943 0.209 0.674
Al 0.943 0.674 0.209
Al 0.943 0.674 0.674
V 0.000 0.500 0.500
V 0.500 0.000 0.500
V 0.500 0.500 0.000
V 0.500 0.500 0.500

The 10 most intense peaks (2θ = 10–80°), in order of falling intensity:
d = 2.459 Å, 2θ 36.54, I = 100; d = 2.218 Å, 2θ 40.67, I = 91; d = 4.386 Å, 2θ 20.25, I = 90; d = 2.300 Å, 2θ 39.17, I = 70; d = 2.193 Å, 2θ 41.16, I = 64; d = 5.143 Å, 2θ 17.24, I = 55; d = 2.571 Å, 2θ 34.89, I = 47; d = 1.714 Å, 2θ 53.45, I = 44; d = 1.286 Å, 2θ 73.68, I = 40; d = 1.426 Å, 2θ 65.43, I = 26


(5)
Simulated powder XRD pattern of AlF3 for Cu Kα, 1.54184 Å, from the PBE geometry in Alexandria.

Structure:
Cell lengths 11.621, 11.621, 3.639 Å; angles 90.00, 90.00, 90.00 degrees
Fractional coordinates of all 40 atoms:
Al 0.000 0.500 0.000
Al 0.076 0.208 0.000
Al 0.208 0.924 0.000
Al 0.292 0.424 0.000
Al 0.424 0.708 0.000
Al 0.500 0.000 0.000
Al 0.576 0.292 0.000
Al 0.708 0.576 0.000
Al 0.792 0.076 0.000
Al 0.924 0.792 0.000
F 0.000 0.345 0.000
F 0.000 0.500 0.500
F 0.000 0.655 0.000
F 0.067 0.859 0.000
F 0.077 0.208 0.500
F 0.141 0.067 0.000
F 0.155 0.500 0.000
F 0.208 0.923 0.500
F 0.215 0.285 0.000
F 0.285 0.785 0.000
F 0.292 0.423 0.500
F 0.345 0.000 0.000
F 0.359 0.567 0.000
F 0.423 0.708 0.500
F 0.433 0.359 0.000
F 0.500 0.000 0.500
F 0.500 0.155 0.000
F 0.500 0.845 0.000
F 0.567 0.641 0.000
F 0.577 0.292 0.500
F 0.641 0.433 0.000
F 0.655 0.000 0.000
F 0.708 0.577 0.500
F 0.715 0.215 0.000
F 0.785 0.715 0.000
F 0.792 0.077 0.500
F 0.845 0.500 0.000
F 0.859 0.933 0.000
F 0.923 0.792 0.500
F 0.933 0.141 0.000

The 10 most intense peaks (2θ = 10–80°), in order of falling intensity:
d = 3.639 Å, 2θ 24.46, I = 100; d = 3.675 Å, 2θ 24.22, I = 83; d = 5.197 Å, 2θ 17.06, I = 69; d = 3.223 Å, 2θ 27.68, I = 43; d = 1.819 Å, 2θ 50.14, I = 38; d = 1.643 Å, 2θ 55.95, I = 33; d = 1.837 Å, 2θ 49.61, I = 27; d = 1.732 Å, 2θ 52.85, I = 23; d = 1.220 Å, 2θ 78.41, I = 21; d = 4.109 Å, 2θ 21.63, I = 15